Diffraction record for La4Sm5Y2. The X-ray powder pattern is computed, not measured: it uses a GGA-PBE-relaxed structure and copper Kα.
No peak broadening, texture or thermal motion is included.

Cell and atoms:
```
La4Sm5Y2
1.0
8.9955 -1.7987 0.0000
8.9955 1.7987 0.0000
-0.8768 0.0000 11.8402
La Sm Y
4 5 2
direct
0.0385 0.0385 0.2624 La
0.3596 0.3596 0.2040 La
0.6404 0.6404 0.7960 La
0.9615 0.9615 0.7376 La
0.0965 0.0965 0.5389 Sm
0.1788 0.1788 0.0726 Sm
0.5000 0.5000 0.0000 Sm
0.8212 0.8212 0.9274 Sm
0.9035 0.9035 0.4611 Sm
0.2838 0.2838 0.6400 Y
0.7162 0.7162 0.3600 Y
```

Top 12 peaks for 15 to 90 degrees two-theta, sorted by position:
two_theta	Rel. int.
26.5	24.5
29.3	25.6
29.7	19.2
30.3	100.0
31.1	56.6
31.3	57.4
32.2	37.3
33.3	31.2
36.3	16.6
53.6	19.8
60.3	18.2
60.8	33.6